[1]
Simulated X-ray diffraction stick pattern
Compound: YHo2Rh3
Radiation: CuKα
Structure: a cell relaxed with PBE
Lines closer than 0.1° are merged.

Largest 10 diffraction maxima, most intense first, 10° ≤ 2θ ≤ 90°:
| index | d (Å) | intensity |
| --- | --- | --- |
| 1 1 0 | 2.418 | 100 |
| 2 1 3 | 1.396 | 35 |
| 2 0 0 | 1.710 | 17 |
| 2 2 0 | 1.209 | 11 |
| 0 0 3 | 3.419 | 2 |
| 1 0 1 | 3.245 | 1 |
| 0 0 2 | 5.125 | 1 |
| 1 0 6 | 1.529 | 1 |
| 1 0 2 | 2.845 | 1 |
| 1 0 4 | 2.051 | 1 |

```
data_YHo2Rh3
_chemical_formula_sum 'Y1 Ho2 Rh3'
_cell_length_a 3.421
_cell_length_b 3.421
_cell_length_c 10.250
_cell_angle_alpha 90.00
_cell_angle_beta 90.00
_cell_angle_gamma 90.00
_symmetry_space_group_name_H-M 'P 4/m m m'
_symmetry_Int_Tables_number 123
_symmetry_space_group_name_Hall '-P 4 2'
loop_
_atom_site_label
_atom_site_type_symbol
_atom_site_fract_x
_atom_site_fract_y
_atom_site_fract_z
_atom_site_occupancy
Y1 Y 0.000 0.000 0.000 1
Ho1 Ho 0.000 0.000 0.334 1
Rh1 Rh 0.500 0.500 0.170 1
Rh2 Rh 0.500 0.500 0.500 1
```

***

[2]
Simulated X-ray diffraction stick pattern
Compound: Li6SeBr2N
Radiation: CuKα
Structure: a cell relaxed with PBE
Lines closer than 0.1° are merged.

Largest 10 diffraction maxima, most intense first, 10° ≤ 2θ ≤ 90°:
| index | d (Å) | intensity |
| --- | --- | --- |
| 1 1 1 | 3.244 | 100 |
| 3 1 -1 | 3.034 | 84 |
| 0 2 0 | 3.229 | 50 |
| 2 2 -2 | 2.228 | 39 |
| 2 0 -2 | 3.079 | 36 |
| 2 0 -1 | 4.842 | 21 |
| 1 1 -2 | 2.716 | 21 |
| 4 2 0 | 1.820 | 20 |
| 4 0 0 | 2.204 | 20 |
| 3 3 -1 | 1.824 | 19 |

```
data_Li6SeBr2N
_chemical_formula_sum 'Li12 Se2 Br4 N2'
_cell_length_a 10.321
_cell_length_b 6.457
_cell_length_c 6.184
_cell_angle_alpha 90.00
_cell_angle_beta 121.32
_cell_angle_gamma 90.00
_symmetry_space_group_name_H-M 'C 1 2/m 1'
_symmetry_Int_Tables_number 12
loop_
_symmetry_equiv_pos_as_xyz
'x,y,z'
'-x,-y,-z'
'-x,y,-z'
'x,-y,z'
'x+1/2,y+1/2,z'
'-x+1/2,-y+1/2,-z'
'-x+1/2,y+1/2,-z'
'x+1/2,-y+1/2,z'
loop_
_atom_site_label
_atom_site_type_symbol
_atom_site_fract_x
_atom_site_fract_y
_atom_site_fract_z
_atom_site_occupancy
Li1 Li 0.055 0.237 0.336 1
Li2 Li 0.216 0.000 0.825 1
Se1 Se 0.000 0.500 0.000 1
Br1 Br 0.247 0.000 0.283 1
N1 N 0.000 0.000 0.500 1
```

***

[3]
Simulated X-ray diffraction stick pattern
Compound: DyCuTe2ClO6
Radiation: CuKα
Structure: a cell relaxed with PBE
Lines closer than 0.1° are merged.

Largest 10 diffraction maxima, most intense first, 10° ≤ 2θ ≤ 90°:
| index | d (Å) | intensity |
| --- | --- | --- |
| 0 4 0 | 3.731 | 100 |
| 0 1 1 | 7.840 | 98 |
| 1 3 -2 | 3.046 | 92 |
| 1 3 2 | 2.703 | 59 |
| 2 0 0 | 2.679 | 58 |
| 1 1 2 | 3.146 | 31 |
| 0 1 2 | 4.399 | 25 |
| 1 4 -1 | 3.004 | 23 |
| 1 3 -1 | 3.543 | 22 |
| 0 4 1 | 3.462 | 21 |

```
data_DyCuTe2ClO6
_chemical_formula_sum 'Dy4 Cu4 Te8 Cl4 O24'
_cell_length_a 5.445
_cell_length_b 14.947
_cell_length_c 9.359
_cell_angle_alpha 90.00
_cell_angle_beta 100.32
_cell_angle_gamma 90.00
_symmetry_space_group_name_H-M 'P 1 21/c 1'
_symmetry_Int_Tables_number 14
loop_
_symmetry_equiv_pos_as_xyz
'x,y,z'
'-x,-y,-z'
'-x,y+1/2,-z+1/2'
'x,-y+1/2,z+1/2'
loop_
_atom_site_label
_atom_site_type_symbol
_atom_site_fract_x
_atom_site_fract_y
_atom_site_fract_z
_atom_site_occupancy
Dy1 Dy 0.245 0.087 0.473 1
Cu1 Cu 0.226 0.223 0.172 1
Te1 Te 0.243 0.655 0.784 1
Te2 Te 0.284 0.587 0.296 1
Cl1 Cl 0.222 0.100 0.943 1
O1 O 0.001 0.177 0.596 1
O2 O 0.034 0.678 0.229 1
O3 O 0.132 0.518 0.135 1
O4 O 0.374 0.546 0.875 1
O5 O 0.459 0.138 0.293 1
O6 O 0.484 0.215 0.592 1
```

***

[4]
Simulated X-ray diffraction stick pattern
Compound: Ac3La2Dy4
Radiation: CuKα
Structure: a cell relaxed with PBE
Lines closer than 0.1° are merged.

Largest 10 diffraction maxima, most intense first, 10° ≤ 2θ ≤ 90°:
| index | d (Å) | intensity |
| --- | --- | --- |
| 2 2 1 | 2.872 | 100 |
| 1 4 1 | 3.017 | 97 |
| 0 0 2 | 2.961 | 65 |
| 0 5 1 | 2.821 | 58 |
| 2 2 3 | 1.692 | 21 |
| 1 4 3 | 1.720 | 19 |
| 2 3 0 | 2.986 | 19 |
| 4 1 2 | 1.530 | 16 |
| 2 7 2 | 1.618 | 14 |
| 2 3 2 | 2.103 | 14 |

```
data_Ac3La2Dy4
_chemical_formula_sum 'Ac6 La4 Dy8'
_cell_length_a 7.200
_cell_length_b 16.040
_cell_length_c 5.922
_cell_angle_alpha 90.00
_cell_angle_beta 90.00
_cell_angle_gamma 90.00
_symmetry_space_group_name_H-M 'P n n m'
_symmetry_Int_Tables_number 58
loop_
_symmetry_equiv_pos_as_xyz
'x,y,z'
'-x,-y,-z'
'-x,-y,z'
'x,y,-z'
'x+1/2,-y+1/2,-z+1/2'
'-x+1/2,y+1/2,z+1/2'
'-x+1/2,y+1/2,-z+1/2'
'x+1/2,-y+1/2,z+1/2'
loop_
_atom_site_label
_atom_site_type_symbol
_atom_site_fract_x
_atom_site_fract_y
_atom_site_fract_z
_atom_site_occupancy
Ac1 Ac 0.000 0.000 0.000 1
Ac2 Ac 0.086 0.344 0.500 1
La1 La 0.170 0.593 0.000 1
Dy1 Dy 0.080 0.211 0.000 1
Dy2 Dy 0.139 0.879 0.500 1
```